1.
Structure and simulated X-ray powder pattern of Ba5Al3F19 (the GGA-PBE geometry in the Materials Project; CuKα).
Neutral-atom scattering factors, no anomalous dispersion.

Cell and atoms:
```
Ba5Al3F19
1.0
-7.416 7.416 3.784
7.416 -7.416 3.784
7.416 7.416 -3.784
Ba Al F
10 6 38
direct
0.057 0.215 0.272
0.215 0.943 0.158
0.250 0.750 0.500
0.259 0.416 0.675
0.416 0.741 0.156
0.584 0.259 0.844
0.741 0.584 0.325
0.750 0.250 0.500
0.785 0.057 0.842
0.943 0.785 0.728
0.176 0.658 0.834
0.253 0.253 0.000
0.342 0.176 0.517
0.658 0.824 0.483
0.747 0.747 0.000
0.824 0.342 0.166
0.000 0.000 0.000
0.073 0.469 0.207
0.079 0.384 0.463
0.086 0.445 0.864
0.118 0.550 0.668
0.130 0.191 0.839
0.134 0.927 0.396
0.191 0.352 0.062
0.222 0.086 0.641
0.235 0.236 0.471
0.236 0.765 0.001
0.262 0.866 0.793
0.290 0.130 0.938
0.352 0.290 0.161
0.384 0.921 0.304
0.419 0.778 0.864
0.445 0.581 0.359
0.450 0.118 0.568
0.469 0.262 0.396
0.500 0.500 0.000
0.531 0.738 0.604
0.550 0.882 0.432
0.555 0.419 0.641
0.581 0.222 0.136
0.616 0.079 0.696
0.648 0.710 0.839
0.710 0.870 0.062
0.738 0.134 0.207
0.764 0.235 0.999
0.765 0.764 0.529
0.778 0.914 0.359
0.809 0.648 0.938
0.866 0.073 0.604
0.870 0.809 0.161
0.882 0.450 0.332
0.914 0.555 0.136
0.921 0.616 0.537
0.927 0.531 0.793
```

Top 6 peaks for 15° ≤ 2θ ≤ 90°, by intensity:
d/Å  I/Imax
3.249  1000
3.614  755
3.317  661
2.067  608
3.069  605
2.306  525

=====

2.
Structure and simulated X-ray powder pattern of BaAlF5 (the GGA-PBE geometry in the Materials Project; CuKα).
Neutral-atom scattering factors, no anomalous dispersion.

Cell and atoms:
```
BaAlF5
1.0
5.249 0.000 0.000
0.000 19.850 0.000
-4.899 0.000 7.700
Ba Al F
8 8 40
direct
0.046 0.041 0.259
0.046 0.459 0.759
0.282 0.230 0.021
0.282 0.270 0.521
0.718 0.730 0.479
0.718 0.770 0.979
0.954 0.541 0.241
0.954 0.959 0.741
0.218 0.631 0.969
0.218 0.869 0.469
0.418 0.608 0.650
0.418 0.892 0.150
0.582 0.108 0.850
0.582 0.392 0.350
0.782 0.131 0.531
0.782 0.369 0.031
0.014 0.618 0.515
0.014 0.882 0.015
0.045 0.655 0.085
0.045 0.845 0.585
0.132 0.711 0.857
0.132 0.789 0.357
0.159 0.096 0.714
0.159 0.404 0.214
0.288 0.546 0.055
0.288 0.954 0.555
0.367 0.519 0.618
0.367 0.981 0.118
0.396 0.600 0.848
0.396 0.900 0.348
0.415 0.160 0.357
0.415 0.340 0.857
0.432 0.617 0.457
0.432 0.883 0.957
0.476 0.698 0.686
0.476 0.802 0.186
0.524 0.198 0.814
0.524 0.302 0.314
0.568 0.117 0.043
0.568 0.383 0.543
0.585 0.660 0.143
0.585 0.840 0.643
0.604 0.100 0.652
0.604 0.400 0.152
0.633 0.019 0.882
0.633 0.481 0.382
0.712 0.046 0.445
0.712 0.454 0.945
0.841 0.596 0.786
0.841 0.904 0.286
0.868 0.211 0.643
0.868 0.289 0.143
0.955 0.155 0.415
0.955 0.345 0.915
0.986 0.118 0.985
0.986 0.382 0.485
```

Top 6 peaks for 15° ≤ 2θ ≤ 90°, by intensity:
d/Å  I/Imax
3.589  1000
3.604  674
3.573  633
3.680  408
2.318  399
4.044  377

=====

3.
Structure and simulated X-ray powder pattern of BaAlF5 (the GGA-PBE geometry in the Materials Project; CuKα).
Neutral-atom scattering factors, no anomalous dispersion.

Cell and atoms:
```
BaAlF5
1.0
5.337 0.000 0.000
0.000 9.915 0.000
-0.121 0.000 7.487
Ba Al F
4 4 20
direct
0.011 0.000 0.388
0.488 0.652 0.139
0.512 0.152 0.861
0.989 0.500 0.612
0.013 0.371 0.075
0.480 0.768 0.630
0.520 0.268 0.370
0.987 0.871 0.925
0.010 0.244 0.903
0.040 0.487 0.257
0.208 0.759 0.797
0.230 0.467 0.943
0.248 0.954 0.033
0.253 0.752 0.448
0.270 0.266 0.531
0.287 0.273 0.177
0.450 0.946 0.637
0.493 0.588 0.658
0.507 0.088 0.342
0.550 0.446 0.363
0.713 0.773 0.823
0.730 0.766 0.469
0.747 0.252 0.552
0.752 0.454 0.967
0.770 0.967 0.057
0.792 0.259 0.203
0.960 0.987 0.743
0.990 0.744 0.097
```

Top 6 peaks for 15° ≤ 2θ ≤ 90°, by intensity:
d/Å  I/Imax
3.632  1000
3.502  822
2.231  552
4.006  433
2.249  427
2.352  407

=====

Question: Which formula does entry 3 have?
Answer: BaAlF5